1.
Starting from DFT lattice parameters and positions (GGA-PBE), the PXRD pattern of Tl2Au2O7 was simulated for a wavelength of 1.5418 Å.
Peak positions follow from Bragg's law for the DFT cell and can differ from measured ones.

Principal peaks in the range 2θ = 15–90°, by angle:
2θ (°)	I_rel
29.31	100.0
33.97	38.6
48.80	45.6
57.95	45.4
79.08	18.9
81.56	15.8

Structure:
Lattice parameters (Å, degrees): 7.4647 7.4647 7.4647 60.00 60.00 60.00
Fractional coordinates of all 22 atoms:
Tl: 0.0000 0.0000 0.0000
Tl: 0.0000 0.0000 0.5000
Tl: 0.0000 0.5000 0.0000
Tl: 0.5000 0.0000 0.0000
Au: 0.0000 0.5000 0.5000
Au: 0.5000 0.0000 0.5000
Au: 0.5000 0.5000 0.0000
Au: 0.5000 0.5000 0.5000
O: 0.1250 0.1250 0.1250
O: 0.1608 0.1608 0.5892
O: 0.1608 0.5892 0.1608
O: 0.1608 0.5892 0.5892
O: 0.4108 0.4108 0.8392
O: 0.4108 0.8392 0.4108
O: 0.4108 0.8392 0.8392
O: 0.5892 0.1608 0.1608
O: 0.5892 0.1608 0.5892
O: 0.5892 0.5892 0.1608
O: 0.8392 0.4108 0.4108
O: 0.8392 0.4108 0.8392
O: 0.8392 0.8392 0.4108
O: 0.8750 0.8750 0.8750


2.
Starting from DFT lattice parameters and positions (GGA-PBE), the PXRD pattern of Th3Mn2 was simulated for a wavelength of 1.5418 Å.
Peak positions follow from Bragg's law for the DFT cell and can differ from measured ones.

Principal peaks in the range 2θ = 15–90°, by angle:
2θ (°)	I_rel
29.25	21.1
29.98	100.0
31.80	15.9
39.60	27.4
46.05	21.8
52.32	22.9

Structure:
Lattice parameters (Å, degrees): 7.2690 7.2690 7.2690 56.03 56.03 56.03
Fractional coordinates of all 10 atoms:
Th: 0.1290 0.7500 0.3710
Th: 0.2500 0.6290 0.8710
Th: 0.3710 0.1290 0.7500
Th: 0.6290 0.8710 0.2500
Th: 0.7500 0.3710 0.1290
Th: 0.8710 0.2500 0.6290
Mn: 0.1840 0.1840 0.1840
Mn: 0.3160 0.3160 0.3160
Mn: 0.6840 0.6840 0.6840
Mn: 0.8160 0.8160 0.8160


3.
Starting from DFT lattice parameters and positions (GGA-PBE), the PXRD pattern of BaCa2Pb2O7 was simulated for a wavelength of 1.5418 Å.
Peak positions follow from Bragg's law for the DFT cell and can differ from measured ones.

Principal peaks in the range 2θ = 15–90°, by angle:
2θ (°)	I_rel
24.19	83.8
24.34	86.4
27.64	100.0
29.31	60.6
31.05	92.6
31.18	88.2

Structure:
Lattice parameters (Å, degrees): 9.7988 9.7988 9.7988 152.94 38.46 153.20
Fractional coordinates of all 12 atoms:
Ba: 0.0000 0.0000 0.0000
Ca: 0.2930 0.5393 0.7537
Ca: 0.7856 0.5393 0.2463
Pb: 0.4144 0.0264 0.3881
Pb: 0.6383 0.0264 0.6119
O: 0.1593 0.5397 0.6196
O: 0.3104 0.0403 0.2701
O: 0.4248 0.5373 0.8874
O: 0.6295 0.1295 0.5000
O: 0.6499 0.5373 0.1126
O: 0.7702 0.0403 0.7299
O: 0.9202 0.5397 0.3804


4.
Starting from DFT lattice parameters and positions (GGA-PBE), the PXRD pattern of KNa4Sb4 was simulated for a wavelength of 1.5418 Å.
Peak positions follow from Bragg's law for the DFT cell and can differ from measured ones.

Principal peaks in the range 2θ = 15–90°, by angle:
2θ (°)	I_rel
17.15	54.4
18.60	82.5
23.88	62.9
27.28	71.9
29.66	41.3
38.71	100.0

Structure:
Lattice parameters (Å, degrees): 10.3383 10.3383 6.2971 90.00 90.00 90.00
Fractional coordinates of all 18 atoms:
K: 0.2500 0.2500 0.2500
K: 0.7500 0.7500 0.7500
Na: 0.0989 0.6320 0.1205
Na: 0.1320 0.9011 0.6205
Na: 0.3680 0.5989 0.6205
Na: 0.4011 0.8680 0.1205
Na: 0.5989 0.1320 0.8795
Na: 0.6320 0.4011 0.3795
Na: 0.8680 0.0989 0.3795
Na: 0.9011 0.3680 0.8795
Sb: 0.0583 0.5946 0.6229
Sb: 0.0946 0.9417 0.1229
Sb: 0.4054 0.5583 0.1229
Sb: 0.4417 0.9054 0.6229
Sb: 0.5583 0.0946 0.3771
Sb: 0.5946 0.4417 0.8771
Sb: 0.9054 0.0583 0.8771
Sb: 0.9417 0.4054 0.3771


5.
Starting from DFT lattice parameters and positions (GGA-PBE), the PXRD pattern of Ce2Mg16Tl was simulated for a wavelength of 1.5418 Å.
Peak positions follow from Bragg's law for the DFT cell and can differ from measured ones.

Principal peaks in the range 2θ = 15–90°, by angle:
2θ (°)	I_rel
15.33	35.1
17.23	100.0
24.67	46.8
30.07	70.2
34.87	65.1
35.01	57.5

Structure:
Lattice parameters (Å, degrees): 7.8073 7.8073 7.8073 82.48 82.48 82.48
Fractional coordinates of all 19 atoms:
Ce: 0.0000 0.0000 0.0000
Ce: 0.3422 0.3422 0.3422
Mg: 0.0212 0.0212 0.5119
Mg: 0.0212 0.5119 0.0212
Mg: 0.1685 0.6738 0.6738
Mg: 0.3196 0.3196 0.8379
Mg: 0.3196 0.8379 0.3196
Mg: 0.3667 0.6719 0.9773
Mg: 0.3667 0.9773 0.6719
Mg: 0.5119 0.0212 0.0212
Mg: 0.6719 0.3667 0.9773
Mg: 0.6719 0.9773 0.3667
Mg: 0.6738 0.1685 0.6738
Mg: 0.6738 0.6738 0.1685
Mg: 0.7650 0.7650 0.7650
Mg: 0.8379 0.3196 0.3196
Mg: 0.9773 0.3667 0.6719
Mg: 0.9773 0.6719 0.3667
Tl: 0.5675 0.5675 0.5675


6.
Starting from DFT lattice parameters and positions (GGA-PBE), the PXRD pattern of Pr6P2AuBr3 was simulated for a wavelength of 1.5418 Å.
Peak positions follow from Bragg's law for the DFT cell and can differ from measured ones.

Principal peaks in the range 2θ = 15–90°, by angle:
2θ (°)	I_rel
28.98	50.1
29.18	100.0
40.92	31.5
42.27	37.3
43.06	18.8
52.74	18.7

Structure:
Lattice parameters (Å, degrees): 9.8421 9.8421 8.9432 105.64 105.64 24.65
Fractional coordinates of all 12 atoms:
Pr: 0.0119 0.0119 0.2341
Pr: 0.3231 0.3231 0.4441
Pr: 0.3351 0.3351 0.8856
Pr: 0.6649 0.6649 0.1144
Pr: 0.6769 0.6769 0.5559
Pr: 0.9881 0.9881 0.7659
P: 0.1683 0.1683 0.3337
P: 0.8317 0.8317 0.6663
Au: 0.5000 0.5000 0.0000
Br: 0.1645 0.1645 0.8270
Br: 0.5000 0.5000 0.5000
Br: 0.8355 0.8355 0.1730


7.
Starting from DFT lattice parameters and positions (GGA-PBE), the PXRD pattern of Ac4Rh2Au5 was simulated for a wavelength of 1.5418 Å.
Peak positions follow from Bragg's law for the DFT cell and can differ from measured ones.

Principal peaks in the range 2θ = 15–90°, by angle:
2θ (°)	I_rel
31.00	75.0
31.41	100.0
31.91	70.4
37.08	28.5
41.13	27.8
43.46	39.5

Structure:
Lattice parameters (Å, degrees): 7.5914 4.1642 9.2563 90.00 91.56 90.00
Fractional coordinates of all 11 atoms:
Ac: 0.2155 0.0000 0.3507
Ac: 0.2393 0.0000 0.8942
Ac: 0.7607 0.0000 0.1058
Ac: 0.7845 0.0000 0.6493
Rh: 0.0513 0.5000 0.1418
Rh: 0.9487 0.5000 0.8582
Au: 0.1548 0.5000 0.6176
Au: 0.4262 0.5000 0.1441
Au: 0.5000 0.5000 0.5000
Au: 0.5738 0.5000 0.8559
Au: 0.8452 0.5000 0.3824


8.
Starting from DFT lattice parameters and positions (GGA-PBE), the PXRD pattern of Ba2Sr3Li was simulated for a wavelength of 1.5418 Å.
Peak positions follow from Bragg's law for the DFT cell and can differ from measured ones.

Principal peaks in the range 2θ = 15–90°, by angle:
2θ (°)	I_rel
21.64	22.6
26.13	100.0
28.27	22.5
28.39	23.1
40.50	16.9
48.91	18.8

Structure:
Lattice parameters (Å, degrees): 6.2866 10.6040 9.9769 90.00 108.34 90.00
Fractional coordinates of all 12 atoms:
Ba: 0.0000 0.0000 0.0000
Ba: 0.0000 0.5000 0.0000
Ba: 0.3326 0.0000 0.6649
Ba: 0.6674 0.0000 0.3351
Sr: 0.1752 0.2951 0.3503
Sr: 0.1752 0.7049 0.3503
Sr: 0.5000 0.2741 0.0000
Sr: 0.5000 0.7259 0.0000
Sr: 0.8248 0.2951 0.6497
Sr: 0.8248 0.7049 0.6497
Li: 0.3496 0.5000 0.6997
Li: 0.6504 0.5000 0.3003